For Te2Ir, the GGA-PBE geometry in the Materials Project gives the simulated powder diffraction line list in this record (Cu Kα (weighted mean of Kα1 and Kα2)).

Structure:
```
Te2Ir
1.0
6.543 0.000 0.000
0.000 6.543 0.000
0.000 0.000 6.543
Te Ir
8 4
Cartesian
0.870 0.870 0.870
0.870 2.401 4.141
2.401 4.141 0.870
2.401 5.673 4.141
4.141 0.870 2.401
4.141 2.401 5.673
5.673 4.141 2.401
5.673 5.673 5.673
0.000 0.000 3.271
0.000 3.271 0.000
3.271 0.000 0.000
3.271 3.271 3.271
```

The 12 most intense peaks (2θ = 15–90°), sorted by position:
(hkl), 2θ/deg, I (rel.)
1 1 1, 23.6, 32
2 0 0, 27.3, 35
2 1 0, 30.6, 66
2 1 1, 33.6, 46
2 2 0, 38.9, 38
3 1 1, 46.0, 100
2 2 2, 48.2, 13
3 1 2, 52.3, 27
4 2 0, 63.6, 23
4 2 1, 65.4, 14
3 3 3, 75.5, 28
4 4 0, 83.6, 21